# NaAg2F8
Computed X-ray powder pattern, Cu Kα X-rays. Input: a DFT-relaxed cell (GGA-PBE, Alexandria).

Peak list (10 most intense, 2θ from 15° to 90°, low angle first)
two_theta	d (Å)	I_rel	index
15.33	5.779	100.0	0 0 1
23.53	3.781	41.8	1 0 1
24.10	3.693	72.5	1 -1 0
24.78	3.593	62.7	1 1 1
25.29	3.521	51.4	0 1 -1
25.85	3.447	34.6	-1 1 1
29.38	3.040	20.3	0 1 2
35.51	2.528	27.5	0 2 2
36.70	2.449	37.5	2 0 0
39.63	2.274	21.0	2 0 1

Structure:
```
data_NaAg2F8
_chemical_formula_sum 'Na1 Ag2 F8'
_space_group_name_H-M_alt 'P -1'
_space_group_IT_number 2
_cell_length_a 4.901
_cell_length_b 6.156
_cell_length_c 6.174
_cell_angle_alpha 69.67
_cell_angle_beta 87.98
_cell_angle_gamma 88.12
loop_
_space_group_symop_operation_xyz
'x,y,z'
'-x,-y,-z'
loop_
_atom_site_label
_atom_site_type_symbol
_atom_site_fract_x
_atom_site_fract_y
_atom_site_fract_z
Na1 Na 0.000 0.000 0.000
Ag1 Ag 0.255 0.370 0.370
F1 F 0.245 0.567 0.567
F2 F 0.249 0.094 0.645
F3 F 0.250 0.646 0.095
F4 F 0.272 0.178 0.178
```